(1)
Diffraction record for CaSn2F6. The X-ray powder pattern is calculated, not measured: it uses a DFT-relaxed cell (PBE, the Materials Project) and λ = 1.5418 Å (Cu Kα).

Top 10 peaks for 2θ from 10° to 90°, low angle first:
- hkl 0 0 2, 4.824 Å, 18.4°, I 33
- hkl 1 0 1, 3.723 Å, 23.9°, I 100
- hkl 0 2 0, 3.628 Å, 24.5°, I 93
- hkl 1 -1 1, 3.500 Å, 25.5°, I 32
- hkl 1 1 -2, 3.336 Å, 26.7°, I 43
- hkl 0 2 1, 3.221 Å, 27.7°, I 35
- hkl -1 1 2, 3.180 Å, 28.1°, I 49
- hkl 0 2 -2, 3.155 Å, 28.3°, I 40
- hkl 0 1 3, 2.776 Å, 32.2°, I 32
- hkl 1 3 -2, 2.072 Å, 43.7°, I 27

Cell and atoms:
Lattice parameters (Å, degrees): 4.4958 7.3629 9.9732 98.73 101.30 92.61
Sites, in units of the cell vectors:
Ca 0.0994 0.2459 0.4466
Ca 0.9006 0.7541 0.5534
Sn 0.1385 0.7112 0.2319
Sn 0.4802 0.2257 0.1336
Sn 0.5198 0.7743 0.8664
Sn 0.8615 0.2888 0.7681
F 0.0305 0.8090 0.8054
F 0.1130 0.5427 0.3920
F 0.1371 0.9248 0.3985
F 0.3971 0.2895 0.6762
F 0.4083 0.9387 0.1123
F 0.4453 0.7651 0.6450
F 0.5547 0.2349 0.3550
F 0.5917 0.0613 0.8877
F 0.6029 0.7105 0.3238
F 0.8629 0.0752 0.6015
F 0.8870 0.4573 0.6080
F 0.9695 0.1910 0.1946

***

(2)
Diffraction record for NbSe2. The X-ray powder pattern is calculated, not measured: it uses a DFT-relaxed cell (PBE, the Materials Project) and λ = 1.5418 Å (Cu Kα).

Top 10 peaks for 2θ from 10° to 90°, low angle first:
- hkl 0 0 4, 7.318 Å, 12.1°, I 100
- hkl 1 0 1, 2.962 Å, 30.2°, I 69
- hkl 1 0 3, 2.848 Å, 31.4°, I 42
- hkl 1 0 5, 2.654 Å, 33.8°, I 61
- hkl 1 0 6, 2.541 Å, 35.3°, I 55
- hkl 1 0 8, 2.309 Å, 39.0°, I 48
- hkl 1 0 11, 1.984 Å, 45.7°, I 39
- hkl 1 0 12, 1.887 Å, 48.2°, I 36
- hkl 1 1 0, 1.719 Å, 53.3°, I 54
- hkl 1 1 16, 1.253 Å, 76.0°, I 18

Cell and atoms:
Lattice parameters (Å, degrees): 3.4376 3.4376 29.2735 90.00 90.00 120.00
Sites, in units of the cell vectors:
Nb 0.0000 0.0000 0.0000
Nb 0.0000 0.0000 0.2544
Nb 0.0000 0.0000 0.7456
Nb 0.3333 0.6667 0.5000
Se 0.0000 0.0000 0.0825
Se 0.0000 0.0000 0.9175
Se 0.3333 0.6667 0.3128
Se 0.3333 0.6667 0.6872
Se 0.6667 0.3333 0.1962
Se 0.6667 0.3333 0.4418
Se 0.6667 0.3333 0.5582
Se 0.6667 0.3333 0.8038

***

(3)
Diffraction record for Bi2O5. The X-ray powder pattern is calculated, not measured: it uses a DFT-relaxed cell (PBE, the Materials Project) and λ = 1.5418 Å (Cu Kα).

Top 10 peaks for 2θ from 10° to 90°, low angle first:
- hkl 0 0 2, 6.970 Å, 12.7°, I 36
- hkl 0 1 0, 4.169 Å, 21.3°, I 100
- hkl 1 0 -2, 4.067 Å, 21.9°, I 80
- hkl 0 0 4, 3.485 Å, 25.6°, I 46
- hkl 1 0 2, 3.137 Å, 28.5°, I 79
- hkl 1 1 -2, 2.911 Å, 30.7°, I 46
- hkl 0 1 4, 2.674 Å, 33.5°, I 30
- hkl 1 1 2, 2.507 Å, 35.8°, I 58
- hkl 2 1 -2, 1.894 Å, 48.0°, I 24
- hkl 1 1 -8, 1.655 Å, 55.5°, I 28

Cell and atoms:
Lattice parameters (Å, degrees): 4.2525 4.1688 14.5650 90.00 106.85 90.00
Sites, in units of the cell vectors:
Bi 0.1507 0.0393 0.3989
Bi 0.1507 0.9607 0.8989
Bi 0.8493 0.0393 0.1011
Bi 0.8493 0.9607 0.6011
O 0.0000 0.0542 0.7500
O 0.0000 0.9458 0.2500
O 0.1356 0.4678 0.8951
O 0.1356 0.5322 0.3951
O 0.3082 0.0090 0.0589
O 0.3082 0.9910 0.5589
O 0.6918 0.0090 0.4411
O 0.6918 0.9910 0.9411
O 0.8644 0.4678 0.6049
O 0.8644 0.5322 0.1049

***

(4)
Diffraction record for Zr3Cd. The X-ray powder pattern is calculated, not measured: it uses a DFT-relaxed cell (PBE, the Materials Project) and λ = 1.5418 Å (Cu Kα).

Top 10 peaks for 2θ from 10° to 90°, low angle first:
- hkl 1 1 2, 2.584 Å, 34.7°, I 100
- hkl 0 0 4, 2.291 Å, 39.3°, I 18
- hkl 2 0 0, 2.213 Å, 40.8°, I 32
- hkl 2 0 4, 1.592 Å, 57.9°, I 22
- hkl 2 2 0, 1.565 Å, 59.0°, I 10
- hkl 1 1 6, 1.372 Å, 68.3°, I 13
- hkl 3 1 2, 1.339 Å, 70.3°, I 24
- hkl 2 2 4, 1.292 Å, 73.3°, I 11
- hkl 0 0 8, 1.145 Å, 84.6°, I 2
- hkl 4 0 0, 1.107 Å, 88.3°, I 3

Cell and atoms:
Lattice parameters (Å, degrees): 4.4263 4.4263 9.1624 90.00 90.00 90.00
Sites, in units of the cell vectors:
Zr 0.0000 0.0000 0.0000
Zr 0.0000 0.5000 0.2500
Zr 0.0000 0.5000 0.7500
Zr 0.5000 0.0000 0.2500
Zr 0.5000 0.0000 0.7500
Zr 0.5000 0.5000 0.5000
Cd 0.0000 0.0000 0.5000
Cd 0.5000 0.5000 0.0000